1.
Diffraction record for Pr12InPt7. The powder X-ray diffraction pattern is computed, not measured: it uses a crystal structure in the Materials Project, relaxed with GGA-PBE and copper Kα.
No peak broadening, texture or thermal motion is included.

Structure:
```
data_Pr12InPt7
_chemical_formula_sum 'Pr48 In4 Pt28'
_space_group_name_H-M_alt 'I 4/m c m'
_space_group_IT_number 140
_space_group_name_Hall '-I 4 2c'
_cell_length_a 12.224
_cell_length_b 12.224
_cell_length_c 14.714
_cell_angle_alpha 90.00
_cell_angle_beta 90.00
_cell_angle_gamma 90.00
loop_
_atom_site_label
_atom_site_type_symbol
_atom_site_fract_x
_atom_site_fract_y
_atom_site_fract_z
Pr1 Pr 0.000 0.500 0.136
Pr2 Pr 0.073 0.207 0.143
Pr3 Pr 0.175 0.325 0.500
In1 In 0.000 0.000 0.000
Pt1 Pt 0.000 0.000 0.250
Pt2 Pt 0.126 0.374 0.000
Pt3 Pt 0.175 0.325 0.305
```

Principal peaks in the range 15° ≤ 2θ ≤ 90°, low angle first:
30.77 deg, intensity 66, (4 1 1)
31.04 deg, intensity 35, (3 3 0)
31.95 deg, intensity 18, (2 2 4)
32.09 deg, intensity 41, (3 2 3)
32.77 deg, intensity 39, (4 2 0)
33.63 deg, intensity 100, (3 1 4)
34.62 deg, intensity 17, (2 1 5)
35.38 deg, intensity 53, (4 1 3)
36.64 deg, intensity 19, (0 0 6)
63.81 deg, intensity 17, (7 2 5)
66.13 deg, intensity 16, (5 5 6)
68.15 deg, intensity 17, (3 1 10)

2.
Diffraction record for BaSr3I8. The powder X-ray diffraction pattern is computed, not measured: it uses a crystal structure in the Materials Project, relaxed with GGA-PBE and copper Kα.
No peak broadening, texture or thermal motion is included.

Structure:
```
data_BaSr3I8
_chemical_formula_sum 'Ba2 Sr6 I16'
_space_group_name_H-M_alt 'I 4/m m m'
_space_group_IT_number 139
_space_group_name_Hall '-I 4 2'
_cell_length_a 8.144
_cell_length_b 8.144
_cell_length_c 16.325
_cell_angle_alpha 90.00
_cell_angle_beta 90.00
_cell_angle_gamma 90.00
loop_
_atom_site_label
_atom_site_type_symbol
_atom_site_fract_x
_atom_site_fract_y
_atom_site_fract_z
Ba1 Ba 0.000 0.000 0.000
Sr1 Sr 0.000 0.000 0.500
Sr2 Sr 0.000 0.500 0.250
I1 I 0.246 0.246 0.373
```

Principal peaks in the range 15° ≤ 2θ ≤ 90°, low angle first:
18.86 deg, intensity 18, (1 1 2)
21.81 deg, intensity 23, (2 0 0)
31.04 deg, intensity 100, (2 2 0)
36.57 deg, intensity 10, (3 1 2)
38.26 deg, intensity 7, (2 2 4)
44.39 deg, intensity 6, (0 0 8)
44.50 deg, intensity 12, (4 0 0)
50.05 deg, intensity 9, (4 2 0)
55.21 deg, intensity 38, (4 2 4)
64.70 deg, intensity 12, (4 4 0)
73.38 deg, intensity 5, (2 0 12)
73.55 deg, intensity 11, (6 2 0)

3.
Diffraction record for NaTiF4. The powder X-ray diffraction pattern is computed, not measured: it uses a crystal structure in the Materials Project, relaxed with GGA-PBE and copper Kα.
No peak broadening, texture or thermal motion is included.

Structure:
```
data_NaTiF4
_chemical_formula_sum 'Na4 Ti4 F16'
_space_group_name_H-M_alt 'P b c n'
_space_group_IT_number 60
_cell_length_a 5.075
_cell_length_b 5.835
_cell_length_c 11.172
_cell_angle_alpha 90.00
_cell_angle_beta 90.00
_cell_angle_gamma 90.00
loop_
_space_group_symop_operation_xyz
'x,y,z'
'-x,-y,-z'
'-x+1/2,-y+1/2,z+1/2'
'x+1/2,y+1/2,-z+1/2'
'x+1/2,-y+1/2,-z'
'-x+1/2,y+1/2,z'
'-x,y,-z+1/2'
'x,-y,z+1/2'
loop_
_atom_site_label
_atom_site_type_symbol
_atom_site_fract_x
_atom_site_fract_y
_atom_site_fract_z
Na1 Na 0.000 0.000 0.000
Ti1 Ti 0.000 0.343 0.250
F1 F 0.169 0.320 0.097
F2 F 0.245 0.086 0.309
```

Principal peaks in the range 15° ≤ 2θ ≤ 90°, low angle first:
15.87 deg, intensity 46, (0 0 2)
24.58 deg, intensity 100, (1 1 1)
28.26 deg, intensity 60, (1 1 2)
36.42 deg, intensity 16, (1 2 1)
36.73 deg, intensity 24, (1 0 4)
48.23 deg, intensity 24, (2 2 1)
48.47 deg, intensity 19, (2 0 4)
50.24 deg, intensity 19, (1 3 0)
50.38 deg, intensity 17, (2 2 2)
53.84 deg, intensity 20, (2 2 3)
54.83 deg, intensity 12, (1 1 6)
62.36 deg, intensity 13, (3 1 3)

4.
Diffraction record for Ni3S. The powder X-ray diffraction pattern is computed, not measured: it uses a crystal structure in the Materials Project, relaxed with GGA-PBE and copper Kα.
No peak broadening, texture or thermal motion is included.

Structure:
```
data_Ni3S
_chemical_formula_sum 'Ni6 S2'
_space_group_name_H-M_alt 'I 4/m m m'
_space_group_IT_number 139
_space_group_name_Hall '-I 4 2'
_cell_length_a 3.486
_cell_length_b 3.486
_cell_length_c 7.312
_cell_angle_alpha 90.00
_cell_angle_beta 90.00
_cell_angle_gamma 90.00
loop_
_atom_site_label
_atom_site_type_symbol
_atom_site_fract_x
_atom_site_fract_y
_atom_site_fract_z
Ni1 Ni 0.000 0.000 0.000
Ni2 Ni 0.000 0.500 0.250
S1 S 0.000 0.000 0.500
```

Principal peaks in the range 15° ≤ 2θ ≤ 90°, low angle first:
24.34 deg, intensity 2, (0 0 2)
28.36 deg, intensity 7, (1 0 1)
36.45 deg, intensity 2, (1 1 0)
44.32 deg, intensity 100, (1 1 2)
45.40 deg, intensity 2, (1 0 3)
49.89 deg, intensity 17, (0 0 4)
52.50 deg, intensity 29, (2 0 0)
58.68 deg, intensity 1, (2 0 2)
60.74 deg, intensity 2, (2 1 1)
75.34 deg, intensity 18, (2 0 4)
77.44 deg, intensity 9, (2 2 0)
89.76 deg, intensity 12, (1 1 6)

5.
Diffraction record for MnAl2Ni. The powder X-ray diffraction pattern is computed, not measured: it uses a crystal structure in the Materials Project, relaxed with GGA-PBE and copper Kα.
No peak broadening, texture or thermal motion is included.

Structure:
```
data_MnAl2Ni
_chemical_formula_sum 'Mn1 Al2 Ni1'
_space_group_name_H-M_alt 'P 4/m m m'
_space_group_IT_number 123
_space_group_name_Hall '-P 4 2'
_cell_length_a 2.804
_cell_length_b 2.804
_cell_length_c 6.407
_cell_angle_alpha 90.00
_cell_angle_beta 90.00
_cell_angle_gamma 90.00
loop_
_atom_site_label
_atom_site_type_symbol
_atom_site_fract_x
_atom_site_fract_y
_atom_site_fract_z
Mn1 Mn 0.000 0.000 0.000
Al1 Al 0.500 0.500 0.264
Ni1 Ni 0.000 0.000 0.500
```

Principal peaks in the range 15° ≤ 2θ ≤ 90°, low angle first:
27.85 deg, intensity 13, (0 0 2)
31.91 deg, intensity 17, (1 0 0)
42.86 deg, intensity 100, (1 0 2)
45.75 deg, intensity 41, (1 1 0)
54.41 deg, intensity 7, (1 1 2)
57.54 deg, intensity 10, (0 0 4)
66.70 deg, intensity 12, (2 0 0)
67.32 deg, intensity 4, (1 0 4)
73.76 deg, intensity 2, (2 0 2)
75.86 deg, intensity 2, (2 1 0)
76.44 deg, intensity 16, (1 1 4)
82.61 deg, intensity 26, (2 1 2)